# BaTi18Mn3O38
Calculated X-ray diffraction stick pattern, CuKα. Input: a GGA+U-relaxed structure.
Neutral-atom scattering factors, no anomalous dispersion.

Cell and atoms:
a = 9.302 Å, b = 9.302 Å, c = 9.302 Å
α = 68.79°, β = 68.79°, γ = 68.79°
Sites, in units of the cell vectors:
Ba 0.000 0.000 0.000
Ti 0.021 0.124 0.348
Ti 0.087 0.467 0.640
Ti 0.124 0.348 0.021
Ti 0.150 0.714 0.315
Ti 0.286 0.685 0.850
Ti 0.315 0.150 0.714
Ti 0.348 0.021 0.124
Ti 0.360 0.913 0.533
Ti 0.467 0.640 0.087
Ti 0.533 0.360 0.913
Ti 0.640 0.087 0.467
Ti 0.652 0.979 0.876
Ti 0.685 0.850 0.286
Ti 0.714 0.315 0.150
Ti 0.850 0.286 0.685
Ti 0.876 0.652 0.979
Ti 0.913 0.533 0.360
Ti 0.979 0.876 0.652
Mn 0.310 0.310 0.310
Mn 0.500 0.500 0.500
Mn 0.690 0.690 0.690
O 0.011 0.487 0.856
O 0.061 0.761 0.846
O 0.074 0.702 0.544
O 0.075 0.244 0.706
O 0.132 0.490 0.393
O 0.144 0.989 0.513
O 0.154 0.939 0.239
O 0.212 0.212 0.212
O 0.239 0.154 0.939
O 0.244 0.706 0.075
O 0.294 0.925 0.756
O 0.298 0.456 0.926
O 0.306 0.376 0.628
O 0.372 0.694 0.624
O 0.376 0.628 0.306
O 0.393 0.132 0.490
O 0.456 0.926 0.298
O 0.487 0.856 0.011
O 0.490 0.393 0.132
O 0.510 0.607 0.868
O 0.513 0.144 0.989
O 0.544 0.074 0.702
O 0.607 0.868 0.510
O 0.624 0.372 0.694
O 0.628 0.306 0.376
O 0.694 0.624 0.372
O 0.702 0.544 0.074
O 0.706 0.075 0.244
O 0.756 0.294 0.925
O 0.761 0.846 0.061
O 0.788 0.788 0.788
O 0.846 0.061 0.761
O 0.856 0.011 0.487
O 0.868 0.510 0.607
O 0.925 0.756 0.294
O 0.926 0.298 0.456
O 0.939 0.239 0.154
O 0.989 0.513 0.144

Peak list (10 most intense, 2θ from 10° to 90°, sorted by position)
two_theta  I (rel.)
25.8  76.9
29.4  38.8
30.5  100.0
31.0  57.9
32.1  50.9
39.6  46.9
41.7  60.0
50.0  45.2
56.8  63.3
63.9  68.8



# SrFe5Bi4O15
Calculated X-ray diffraction stick pattern, CuKα. Input: a GGA+U-relaxed structure.
Neutral-atom scattering factors, no anomalous dispersion.

Cell and atoms:
a = 5.760 Å, b = 6.916 Å, c = 8.885 Å
α = 104.84°, β = 107.42°, γ = 91.10°
Sites, in units of the cell vectors:
Sr 0.000 0.000 0.000
Fe 0.189 0.299 0.386
Fe 0.381 0.100 0.793
Fe 0.565 0.907 0.184
Fe 0.782 0.703 0.589
Fe 0.991 0.510 0.992
Bi 0.273 0.795 0.413
Bi 0.465 0.586 0.827
Bi 0.666 0.388 0.219
Bi 0.869 0.189 0.609
O 0.030 0.399 0.180
O 0.044 0.925 0.679
O 0.135 0.299 0.865
O 0.240 0.210 0.585
O 0.260 0.713 0.081
O 0.356 0.102 0.278
O 0.443 0.526 0.475
O 0.473 0.007 0.984
O 0.543 0.907 0.665
O 0.640 0.807 0.381
O 0.647 0.321 0.881
O 0.745 0.704 0.072
O 0.831 0.613 0.786
O 0.847 0.120 0.281
O 0.938 0.498 0.470

Peak list (10 most intense, 2θ from 10° to 90°, sorted by position)
two_theta  I (rel.)
22.1  68.3
22.2  35.3
31.1  93.7
31.2  46.4
31.8  100.0
31.9  49.3
39.1  47.5
44.9  23.4
45.1  24.2
45.4  23.7